Structure and computed X-ray powder pattern of Mg6MnSi (a GGA-PBE-relaxed structure; copper Kα).
Neutral-atom scattering factors, no anomalous dispersion.

Peak list (12 most intense, 2θ from 10° to 90°, sorted by position)
two_theta, d/Å, I (rel.)
16.67, 5.318, 15
33.64, 2.665, 12
33.78, 2.653, 27
36.85, 2.439, 38
38.50, 2.338, 52
38.63, 2.331, 100
50.85, 1.796, 16
60.24, 1.536, 17
67.53, 1.387, 27
72.75, 1.300, 18
73.01, 1.296, 9
74.06, 1.280, 14

Cell and atoms:
```
16
Lattice="4.8785 0.0000 0.0000 0.0000 6.1185 0.0000 0.0000 0.0000 10.6580" Properties=species:S:1:pos:R:3 pbc="T T T"
Mg 0.0000 0.0000 0.0000
Mg 0.0000 0.0000 5.3126
Mg 0.0000 1.5125 2.7322
Mg 0.0000 1.5467 8.0613
Mg 0.0000 3.0592 5.3290
Mg 0.0000 3.0592 10.6416
Mg 0.0000 4.5718 8.0613
Mg 0.0000 4.6059 2.7322
Mg 2.4393 1.5235 6.2531
Mg 2.4393 1.5358 0.9241
Mg 2.4393 4.5827 0.9241
Mg 2.4393 4.5950 6.2531
Mn 2.4393 0.0000 3.6070
Mn 2.4393 3.0592 8.9361
Si 2.4393 0.0000 8.9380
Si 2.4393 3.0592 3.6089
```